# 1
Structure and calculated powder diffraction line list of Cr2O5 (DFT lattice parameters and positions (PBE+U); Cu Kα (weighted mean of Kα1 and Kα2)).
Lines closer than 0.1° are merged.

Structural model:
abc: 3.6140 11.7223 11.0939
angles: 90.00 90.00 90.00
Space group Cmcm (No. 63)
Symmetry-distinct sites (fractional):
Cr: 0.0000 0.2031 0.0989 [8 per cell]
O: 0.0000 0.0689 0.1090 [8 per cell]
O: 0.0000 0.2522 0.5686 [8 per cell]
O: 0.0000 0.2609 0.2500 [4 per cell]

Main lines, by angle (5° ≤ 2θ ≤ 70°):
hkl 0 2 0, 15.12 deg, I 100.0
hkl 0 0 2, 15.98 deg, I 13.7
hkl 0 2 1, 17.11 deg, I 26.1
hkl 1 1 0, 25.80 deg, I 14.2
hkl 1 1 1, 27.04 deg, I 34.7
hkl 0 2 3, 28.54 deg, I 20.4
hkl 1 1 3, 35.57 deg, I 12.2
hkl 0 6 3, 53.02 deg, I 12.5

---

# 2
Structure and calculated powder diffraction line list of Fe3B7ClO13 (DFT lattice parameters and positions (PBE+U); Cu Kα (weighted mean of Kα1 and Kα2)).
Lines closer than 0.1° are merged.

Structural model:
abc: 8.7202 8.7202 21.3121
angles: 90.00 90.00 120.00
Space group R3c (No. 161, hexagonal axes)
Symmetry-distinct sites (fractional):
Fe: 0.0394 0.5191 0.0000 [18 per cell]
B: 0.0000 0.0000 0.1096 [6 per cell]
B: 0.0052 0.5011 0.2560 [18 per cell]
B: 0.1000 0.2027 0.4774 [18 per cell]
Cl: 0.0000 0.0000 0.2741 [6 per cell]
O: 0.0000 0.0000 0.4930 [6 per cell]
O: 0.0021 0.1593 0.6125 [18 per cell]
O: 0.0227 0.2255 0.9192 [18 per cell]
O: 0.0296 0.4451 0.6945 [18 per cell]
O: 0.0742 0.3787 0.1350 [18 per cell]

Main lines, by angle (5° ≤ 2θ ≤ 70°):
hkl 1 0 4, 20.39 deg, I 22.4
hkl 0 0 6, 25.05 deg, I 53.9
hkl 0 2 4, 28.98 deg, I 100.0
hkl 1 2 2, 32.49 deg, I 54.2
hkl 2 0 8, 41.45 deg, I 52.4
hkl 2 1 7, 43.45 deg, I 36.7
hkl 0 2 10, 49.05 deg, I 46.6
hkl 2 3 2, 53.62 deg, I 22.4

---

# 3
Structure and calculated powder diffraction line list of Li9Mn7O16 (DFT lattice parameters and positions (PBE+U); Cu Kα (weighted mean of Kα1 and Kα2)).
Lines closer than 0.1° are merged.

Structural model:
abc: 3.0333 5.1103 19.5292
angles: 92.55 93.24 93.87
Space group P-1 (No. 2)
Symmetry-distinct sites (fractional):
Li: 0.0000 0.0000 0.0000 [1 per cell]
Li: 0.9995 0.1254 0.3747 [2 per cell]
Li: 0.0059 0.3689 0.1189 [2 per cell]
Li: 0.4905 0.8851 0.1172 [2 per cell]
Li: 0.5000 0.3755 0.6254 [2 per cell]
Mn: 0.0000 0.5000 0.5000 [1 per cell]
Mn: 0.0027 0.7482 0.2493 [2 per cell]
Mn: 0.4968 0.7502 0.7509 [2 per cell]
Mn: 0.5000 0.0000 0.5000 [1 per cell]
Mn: 0.5000 0.5000 0.0000 [1 per cell]
O: 0.0272 0.0547 0.1924 [2 per cell]
O: 0.0285 0.5553 0.6919 [2 per cell]
O: 0.0302 0.8043 0.4417 [2 per cell]
O: 0.0317 0.6612 0.0537 [2 per cell]
O: 0.4701 0.6958 0.5582 [2 per cell]
O: 0.4755 0.9446 0.3078 [2 per cell]
O: 0.4770 0.4410 0.8061 [2 per cell]
O: 0.4915 0.2118 0.0588 [2 per cell]

Main lines, by angle (5° ≤ 2θ ≤ 70°):
hkl 0 0 4, 18.22 deg, I 100.0
hkl -1 1 1, 33.60 deg, I 19.5
hkl 0 2 -2, 36.02 deg, I 11.5
hkl 1 1 1, 36.26 deg, I 11.3
hkl -1 1 5, 40.30 deg, I 36.7
hkl 1 1 5, 44.17 deg, I 53.8
hkl 0 2 -10, 58.21 deg, I 9.3
hkl 1 -3 1, 60.81 deg, I 8.6

---

# 4
Structure and calculated powder diffraction line list of Ba2MgZnWO6 (DFT lattice parameters and positions (PBE+U); Cu Kα (weighted mean of Kα1 and Kα2)).
Lines closer than 0.1° are merged.

Structural model:
abc: 10.5222 5.9938 6.5168
angles: 90.00 121.31 90.00
Space group Cm (No. 8)
Symmetry-distinct sites (fractional):
Ba: 0.0000 0.0000 0.0000 [2 per cell]
Ba: 0.0675 0.5000 0.7126 [2 per cell]
Mg: 0.2050 0.0000 0.6255 [2 per cell]
Zn: 0.3802 0.0000 0.1394 [2 per cell]
W: 0.2840 0.5000 0.3578 [2 per cell]
O: 0.0188 0.0000 0.5985 [2 per cell]
O: 0.0446 0.5000 0.1025 [2 per cell]
O: 0.2759 0.2660 0.1114 [4 per cell]
O: 0.2857 0.2659 0.5880 [4 per cell]

Main lines, by angle (5° ≤ 2θ ≤ 70°):
hkl 2 0 -1, 17.79 deg, I 56.3
hkl 1 1 1, 27.23 deg, I 30.4
hkl 3 1 -1, 29.51 deg, I 100.0
hkl 0 2 0, 29.81 deg, I 48.6
hkl 2 0 1, 31.41 deg, I 41.1
hkl 1 1 -2, 31.98 deg, I 78.0
hkl 2 2 1, 43.85 deg, I 33.0
hkl 4 2 -3, 54.31 deg, I 38.8

---

# 5
Structure and calculated powder diffraction line list of Sr2Mn2GaO7 (DFT lattice parameters and positions (PBE+U); Cu Kα (weighted mean of Kα1 and Kα2)).
Lines closer than 0.1° are merged.

Structural model:
abc: 24.9244 5.4459 5.3046
angles: 90.00 90.00 90.00
Space group Ima2 (No. 46)
Symmetry-distinct sites (fractional):
Sr: 0.1572 0.0123 0.0000 [8 per cell]
Mn: 0.0756 0.5076 0.0031 [8 per cell]
Ga: 0.2500 0.5691 0.9560 [4 per cell]
O: 0.0771 0.2496 0.2500 [8 per cell]
O: 0.0861 0.7481 0.7525 [8 per cell]
O: 0.1797 0.0387 0.5177 [8 per cell]
O: 0.2500 0.6084 0.5962 [4 per cell]

Main lines, by angle (5° ≤ 2θ ≤ 70°):
hkl 2 0 0, 7.09 deg, I 54.1
hkl 4 0 0, 14.21 deg, I 23.7
hkl 4 1 1, 27.49 deg, I 29.7
hkl 6 1 1, 31.92 deg, I 100.0
hkl 0 2 0, 32.89 deg, I 23.3
hkl 0 0 2, 33.79 deg, I 25.2
hkl 12 0 0, 43.57 deg, I 17.9
hkl 0 2 2, 47.88 deg, I 29.9

---

# 6
Structure and calculated powder diffraction line list of K3Na5V2Mo6O24 (DFT lattice parameters and positions (PBE+U); Cu Kα (weighted mean of Kα1 and Kα2)).
Lines closer than 0.1° are merged.

Structural model:
abc: 7.8860 7.8553 7.8896
angles: 90.00 90.13 90.00
Space group Pm (No. 6)
Symmetry-distinct sites (fractional):
K: 0.9998 0.0000 0.9997 [1 per cell]
K: 0.0000 0.5000 0.0000 [1 per cell]
K: 0.5140 0.0000 0.9998 [1 per cell]
Na: 0.5180 0.0000 0.5177 [1 per cell]
Na: 0.5177 0.5000 0.5178 [1 per cell]
Na: 0.5179 0.5000 0.9960 [1 per cell]
Na: 0.9959 0.0000 0.5179 [1 per cell]
Na: 0.9961 0.5000 0.5177 [1 per cell]
V: 0.7549 0.2511 0.7509 [2 per cell]
Mo: 0.2573 0.2507 0.7547 [2 per cell]
Mo: 0.2576 0.2506 0.2587 [2 per cell]
Mo: 0.7562 0.2507 0.2581 [2 per cell]
O: 0.0017 0.2508 0.2635 [2 per cell]
O: 0.0097 0.2510 0.7510 [2 per cell]
O: 0.2576 0.0000 0.2614 [1 per cell]
O: 0.2584 0.0000 0.7517 [1 per cell]
O: 0.2583 0.2509 0.5111 [2 per cell]
O: 0.2587 0.5000 0.2601 [1 per cell]
O: 0.2591 0.5000 0.7526 [1 per cell]
O: 0.2598 0.2524 0.0010 [2 per cell]
O: 0.5058 0.2527 0.7528 [2 per cell]
O: 0.5116 0.2520 0.2620 [2 per cell]
O: 0.7541 0.2531 0.0118 [2 per cell]
O: 0.7540 0.5000 0.7525 [1 per cell]
O: 0.7552 0.5000 0.2625 [1 per cell]
O: 0.7559 0.0000 0.2632 [1 per cell]
O: 0.7561 0.0000 0.7499 [1 per cell]
O: 0.7560 0.2512 0.5070 [2 per cell]

Main lines, by angle (5° ≤ 2θ ≤ 70°):
hkl 2 0 0, 22.58 deg, I 100.0
hkl 2 0 2, 32.10 deg, I 49.5
hkl 2 2 0, 32.16 deg, I 98.9
hkl 4 0 0, 46.03 deg, I 45.8
hkl 0 4 0, 46.23 deg, I 22.9
hkl 2 2 4, 57.24 deg, I 27.1
hkl 2 4 2, 57.36 deg, I 27.1
hkl 4 4 0, 67.27 deg, I 31.4

---

Repeat the second record exactly.
Structure and calculated powder diffraction line list of Fe3B7ClO13 (DFT lattice parameters and positions (PBE+U); Cu Kα (weighted mean of Kα1 and Kα2)).
Lines closer than 0.1° are merged.

Structural model:
abc: 8.7202 8.7202 21.3121
angles: 90.00 90.00 120.00
Space group R3c (No. 161, hexagonal axes)
Symmetry-distinct sites (fractional):
Fe: 0.0394 0.5191 0.0000 [18 per cell]
B: 0.0000 0.0000 0.1096 [6 per cell]
B: 0.0052 0.5011 0.2560 [18 per cell]
B: 0.1000 0.2027 0.4774 [18 per cell]
Cl: 0.0000 0.0000 0.2741 [6 per cell]
O: 0.0000 0.0000 0.4930 [6 per cell]
O: 0.0021 0.1593 0.6125 [18 per cell]
O: 0.0227 0.2255 0.9192 [18 per cell]
O: 0.0296 0.4451 0.6945 [18 per cell]
O: 0.0742 0.3787 0.1350 [18 per cell]

Main lines, by angle (5° ≤ 2θ ≤ 70°):
hkl 1 0 4, 20.39 deg, I 22.4
hkl 0 0 6, 25.05 deg, I 53.9
hkl 0 2 4, 28.98 deg, I 100.0
hkl 1 2 2, 32.49 deg, I 54.2
hkl 2 0 8, 41.45 deg, I 52.4
hkl 2 1 7, 43.45 deg, I 36.7
hkl 0 2 10, 49.05 deg, I 46.6
hkl 2 3 2, 53.62 deg, I 22.4